Structure and calculated X-ray powder pattern of Na2FeO4 (a cell relaxed with PBE+U; Cu Kα X-rays).

The 10 most intense peaks (2θ = 10–90°), in order of rising 2θ:
| Position (°2θ) | I (rel.) | index |
| --- | --- | --- |
| 16.98 | 90 | 0 1 1 |
| 20.65 | 84 | 1 1 1 |
| 23.50 | 38 | 2 0 0 |
| 24.88 | 42 | 0 0 2 |
| 26.11 | 73 | 1 2 0 |
| 29.13 | 45 | 2 1 1 |
| 34.33 | 100 | 0 2 2 |
| 34.49 | 28 | 2 0 2 |
| 36.38 | 35 | 1 2 2 |
| 37.51 | 35 | 3 1 0 |

Crystal structure
a = 7.572 Å, b = 7.645 Å, c = 7.158 Å
α = 90.00°, β = 90.00°, γ = 90.00°
Space group Pnnm (No. 58)
Symmetry-distinct sites (fractional):
1 Na 0.000 0.000 0.241 [4 per cell]
2 Na 0.237 0.267 0.500 [4 per cell]
3 Fe 0.221 0.352 0.000 [4 per cell]
4 O 0.068 0.194 0.000 [4 per cell]
5 O 0.069 0.785 0.500 [4 per cell]
6 O 0.203 0.477 0.189 [8 per cell]